This entry pairs a crystal structure of Ca2AlVO5 with its theoretical powder X-ray diffraction pattern. Radiation: CuKα. Structure: a DFT-relaxed cell (GGA+U, Alexandria).
Peak positions follow from Bragg's law for the DFT cell and can differ from measured ones.

Top 10 peaks for 10 to 90 degrees two-theta, by angle:
12.26 deg, intensity 44; 31.36 deg, intensity 32; 32.99 deg, intensity 44; 33.71 deg, intensity 100; 44.13 deg, intensity 29; 46.15 deg, intensity 48; 47.93 deg, intensity 15; 50.59 deg, intensity 18; 57.33 deg, intensity 20; 59.37 deg, intensity 22

Structural model:
Cell lengths 14.433, 5.706, 5.431 Å; angles 90.00, 90.00, 90.00 degrees
Space group Ima2 (No. 46)
Unique sites:
Ca (0.110, 0.032, 0.000) x8
Al (0.250, 0.576, 0.032) x4
V (0.000, 0.000, 0.488) x4
O (0.017, 0.748, 0.240) x8
O (0.147, 0.074, 0.466) x8
O (0.250, 0.651, 0.360) x4